# TaAgWO7
Theoretical X-ray powder pattern, Cu Kα. Input: a GGA+U-relaxed structure.
No peak broadening, texture or thermal motion is included.

Structure:
Lattice parameters (Å, degrees): 7.449 7.449 7.449 121.00 119.81 89.30
Positions (direct):
Ta: 0.000 0.000 0.000
Ta: 0.500 0.000 0.500
Ag: 0.500 0.000 0.000
Ag: 0.500 0.500 0.500
W: 0.000 0.000 0.500
W: 0.000 0.500 0.000
O: 0.056 0.306 0.750
O: 0.063 0.315 0.122
O: 0.063 0.941 0.748
O: 0.306 0.059 0.622
O: 0.306 0.685 0.248
O: 0.313 0.063 0.250
O: 0.424 0.674 0.750
O: 0.576 0.326 0.250
O: 0.687 0.937 0.750
O: 0.694 0.315 0.752
O: 0.694 0.941 0.378
O: 0.937 0.059 0.252
O: 0.937 0.685 0.878
O: 0.944 0.694 0.250

Largest 10 diffraction maxima, in order of rising 2θ, 2θ = 10–90°:
d/Å, intensity
6.032, 88
3.184, 21
3.176, 34
3.053, 100
3.016, 90
2.650, 24
2.617, 43
1.862, 53
1.588, 27
1.572, 28